The following is a computed PXRD pattern of K3Hg3Sb. It was derived from a DFT-relaxed cell (GGA-PBE, Alexandria), using a wavelength of 1.5418 Å.
Neutral-atom scattering factors, no anomalous dispersion.

The 12 most intense peaks (10 to 90 degrees two-theta), sorted by position:
d = 6.032 Å, 2θ 14.69, I = 35, (2 0 0); d = 5.190 Å, 2θ 17.08, I = 24, (2 0 1); d = 4.567 Å, 2θ 19.44, I = 100, (1 1 -1); d = 4.319 Å, 2θ 20.56, I = 37, (2 0 2); d = 4.171 Å, 2θ 21.30, I = 22, (2 0 -4); d = 3.375 Å, 2θ 26.41, I = 51, (1 1 3); d = 3.215 Å, 2θ 27.75, I = 21, (3 1 -1); d = 2.656 Å, 2θ 33.74, I = 68, (3 1 -5); d = 2.595 Å, 2θ 34.56, I = 29, (4 0 2); d = 2.475 Å, 2θ 36.29, I = 39, (0 2 0); d = 2.271 Å, 2θ 39.69, I = 32, (1 1 -7); d = 1.707 Å, 2θ 53.70, I = 24, (7 1 -3)

Structural model:
```
data_K3Hg3Sb
_symmetry_space_group_name_H-M 'C 1 2/m 1'
_symmetry_Int_Tables_number 12
_symmetry_space_group_name_Hall '-C 2y'
_cell_length_a 12.732
_cell_length_b 4.951
_cell_length_c 18.033
_cell_angle_alpha 90.00
_cell_angle_beta 108.65
_cell_angle_gamma 90.00
loop_
_atom_site_label
_atom_site_fract_x
_atom_site_fract_y
_atom_site_fract_z
_atom_site_occupancy
K1 0.050 0.000 0.275 1
K2 0.177 0.500 0.090 1
K3 0.178 0.000 0.577 1
Hg1 0.037 0.500 0.426 1
Hg2 0.048 0.000 0.937 1
Hg3 0.168 0.500 0.722 1
Sb1 0.093 0.500 0.866 1
```